Calculated XRD peak list
Compound: Ba6NaNdSi4O16
Radiation: Cu Kα
Structure: a PBE-relaxed structure
Kinematic intensities with the Lorentz-polarization factor, no thermal factor.

The 12 most intense peaks (2θ from 15° to 90°), sorted by position:
2θ/deg	I (rel.)
21.32	26
23.48	51
28.83	25
29.72	30
29.84	70
30.57	100
30.92	65
36.43	28
37.77	25
41.75	23
43.42	29
50.87	36

Cell and atoms:
a = 5.7834 Å, b = 20.3339 Å, c = 7.4539 Å
α = 90.00°, β = 90.00°, γ = 90.00°
Space group Pmc2_1 (No. 26)
Symmetry-distinct sites (fractional):
1 Ba 0.0000 0.0288 0.0000
2 Ba 0.0000 0.1698 0.3337
3 Ba 0.0000 0.3297 0.6497
4 Ba 0.5000 0.0865 0.6526
5 Ba 0.5000 0.2431 0.9905
6 Ba 0.5000 0.4123 0.3271
7 Na 0.5000 0.2528 0.4855
8 Nd 0.0000 0.4751 0.9964
9 Si 0.0000 0.1716 0.7695
10 Si 0.0000 0.3410 0.2082
11 Si 0.5000 0.0877 0.2145
12 Si 0.5000 0.4232 0.7710
13 O 0.0000 0.0954 0.6885
14 O 0.0000 0.1736 0.9889
15 O 0.0000 0.3580 0.9923
16 O 0.0000 0.4177 0.3020
17 O 0.2298 0.2095 0.6870
18 O 0.2307 0.3029 0.2808
19 O 0.2568 0.4621 0.7029
20 O 0.2679 0.0522 0.3003
21 O 0.5000 0.0817 0.9956
22 O 0.5000 0.1652 0.2837
23 O 0.5000 0.3502 0.6797
24 O 0.5000 0.4290 0.9885

Calculated XRD peak list
Compound: Ba2NaO
Radiation: Cu Kα
Structure: a PBE-relaxed structure
Kinematic intensities with the Lorentz-polarization factor, no thermal factor.

The 12 most intense peaks (2θ from 15° to 90°), sorted by position:
2θ/deg	I (rel.)
19.27	29
25.21	100
25.53	13
26.72	22
29.45	10
33.75	15
34.56	15
37.29	13
44.22	16
44.84	10
46.27	21
51.79	12

Cell and atoms:
a = 6.6724 Å, b = 15.5675 Å, c = 6.9779 Å
α = 90.00°, β = 90.00°, γ = 90.00°
Space group Cmme (No. 67)
Symmetry-distinct sites (fractional):
1 Ba 0.0000 0.0865 0.1937
2 Na 0.0000 0.2500 0.6879
3 O 0.2500 0.0000 0.0000

Calculated XRD peak list
Compound: BaNaPO4
Radiation: Cu Kα
Structure: a PBE-relaxed structure
Kinematic intensities with the Lorentz-polarization factor, no thermal factor.

The 12 most intense peaks (2θ from 15° to 90°), sorted by position:
2θ/deg	I (rel.)
18.21	87
26.35	39
28.54	37
28.93	48
29.51	100
30.73	40
32.35	41
35.95	18
40.48	47
43.68	33
43.96	49
53.03	22

Cell and atoms:
a = 7.7270 Å, b = 5.5343 Å, c = 10.2610 Å
α = 90.00°, β = 90.00°, γ = 90.00°
Space group Pnma (No. 62)
Symmetry-distinct sites (fractional):
1 Ba 0.0079 0.2500 0.1960
2 Na 0.1683 0.7500 0.4473
3 P 0.2371 0.7500 0.0767
4 O 0.0355 0.7500 0.0821
5 O 0.1921 0.0185 0.6437
6 O 0.2000 0.2500 0.4314

Calculated XRD peak list
Compound: BaNaPO4
Radiation: Cu Kα
Structure: a PBE-relaxed structure
Kinematic intensities with the Lorentz-polarization factor, no thermal factor.

The 12 most intense peaks (2θ from 15° to 90°), sorted by position:
2θ/deg	I (rel.)
17.98	26
21.73	76
30.43	84
31.40	100
38.51	35
40.13	17
44.29	48
49.19	21
50.51	17
55.30	27
55.90	18
65.54	17

Cell and atoms:
a = 5.6973 Å, b = 5.6973 Å, c = 7.3133 Å
α = 90.00°, β = 90.00°, γ = 120.00°
Space group P3m1 (No. 156)
Symmetry-distinct sites (fractional):
1 Ba 0.0000 0.0000 0.0000
2 Ba 0.3333 0.6667 0.3595
3 Na 0.3333 0.6667 0.8400
4 Na 0.6667 0.3333 0.6577
5 P 0.0000 0.0000 0.5676
6 P 0.6667 0.3333 0.1322
7 O 0.0000 0.0000 0.3567
8 O 0.1474 0.2948 0.6462
9 O 0.5183 0.0366 0.0546
10 O 0.6667 0.3333 0.3423

Calculated XRD peak list
Compound: BaNaY2P2O8
Radiation: Cu Kα
Structure: a PBE-relaxed structure
Kinematic intensities with the Lorentz-polarization factor, no thermal factor.

The 12 most intense peaks (2θ from 15° to 90°), sorted by position:
2θ/deg	I (rel.)
21.86	43
28.77	100
32.28	10
33.29	80
40.18	27
44.56	42
47.05	20
47.90	21
56.74	25
59.52	23
69.95	27
77.28	12

Cell and atoms:
a = 5.3826 Å, b = 5.3826 Å, c = 8.3189 Å
α = 90.00°, β = 90.00°, γ = 120.00°
Space group P-3m1 (No. 164)
Symmetry-distinct sites (fractional):
1 Ba 0.0000 0.0000 0.0000
2 Na 0.0000 0.0000 0.5000
3 Y 0.3333 0.6667 0.6975
4 P 0.3333 0.6667 0.1851
5 O 0.1774 0.3548 0.2514
6 O 0.3333 0.6667 0.9968

Calculated XRD peak list
Compound: BaNaPrSeO6
Radiation: Cu Kα
Structure: a PBE-relaxed structure
Kinematic intensities with the Lorentz-polarization factor, no thermal factor.

The 12 most intense peaks (2θ from 15° to 90°), sorted by position:
2θ/deg	I (rel.)
18.43	24
21.32	11
30.33	100
35.72	17
43.42	33
47.54	9
53.88	38
57.44	5
63.08	19
71.59	19
79.69	6
87.58	22

Cell and atoms:
a = 8.3363 Å, b = 8.3363 Å, c = 8.3363 Å
α = 90.00°, β = 90.00°, γ = 90.00°
Space group F-43m (No. 216)
Symmetry-distinct sites (fractional):
1 Ba 0.0000 0.0000 0.0000
2 Na 0.0000 0.0000 0.5000
3 Pr 0.2500 0.2500 0.2500
4 Se 0.2500 0.2500 0.7500
5 O 0.0296 0.2500 0.7500